Diffraction record for Ho4FeSn8. The powder diffractogram is calculated, not measured: it uses a PBE-relaxed structure and Cu Kα (λ = 1.5418 Å).

Structure:
```
data_Ho4FeSn8
_cell_length_a 4.420
_cell_length_b 4.476
_cell_length_c 16.436
_cell_angle_alpha 90.00
_cell_angle_beta 90.00
_cell_angle_gamma 90.00
_space_group_name_H-M_alt 'P m m 2'
_space_group_IT_number 25
loop_
_space_group_symop_operation_xyz
'x,y,z'
'-x,-y,z'
'-x,y,z'
'x,-y,z'
loop_
_atom_site_label
_atom_site_fract_x
_atom_site_fract_y
_atom_site_fract_z
Ho1 0.000 0.000 0.000
Ho2 0.000 0.500 0.491
Ho3 0.500 0.000 0.791
Ho4 0.500 0.500 0.298
Fe1 0.000 0.500 0.701
Sn1 0.000 0.000 0.328
Sn2 0.000 0.000 0.632
Sn3 0.000 0.500 0.148
Sn4 0.000 0.500 0.851
Sn5 0.500 0.000 0.151
Sn6 0.500 0.000 0.457
Sn7 0.500 0.500 0.631
Sn8 0.500 0.500 0.973
```

Peak list (10 most intense, 2θ from 10° to 90°, low angle first)
- 2θ = 32.7°, rel. 17.4
- 2θ = 32.8°, rel. 100.0
- 2θ = 40.3°, rel. 18.1
- 2θ = 40.8°, rel. 17.4
- 2θ = 52.8°, rel. 9.2
- 2θ = 53.3°, rel. 9.2
- 2θ = 58.7°, rel. 12.2
- 2θ = 68.5°, rel. 12.9
- 2θ = 68.8°, rel. 8.5
- 2θ = 69.3°, rel. 12.1